No. 1
Diffraction record for MgNi2O5. The powder diffractogram is computed, not measured: it uses the PBE+U geometry in the Materials Project and Cu Kα.

Atomic structure:
```
data_MgNi2O5
_cell_length_a 3.1312
_cell_length_b 10.9408
_cell_length_c 5.2949
_cell_angle_alpha 90.00
_cell_angle_beta 90.00
_cell_angle_gamma 90.00
_space_group_name_H-M_alt 'P m m n'
_space_group_IT_number 59
loop_
_space_group_symop_operation_xyz
'x,y,z'
'-x,-y,-z'
'-x+1/2,-y+1/2,z'
'x+1/2,y+1/2,-z'
'x+1/2,-y,-z'
'-x+1/2,y,z'
'-x,y+1/2,-z'
'x,-y+1/2,z'
loop_
_atom_site_label
_atom_site_type_symbol
_atom_site_fract_x
_atom_site_fract_y
_atom_site_fract_z
_atom_site_occupancy
Mg1 Mg 0.2500 0.2500 0.1225 1
Ni1 Ni 0.2500 0.6043 0.4544 1
O1 O 0.2500 0.0568 0.3408 1
O2 O 0.2500 0.6811 0.1223 1
O3 O 0.2500 0.7500 0.6234 1
```

Largest 12 diffraction maxima, sorted by position, 5° ≤ 2θ ≤ 70°:
16.74 deg, I 100; 23.38 deg, I 34; 29.68 deg, I 36; 33.24 deg, I 26; 33.86 deg, I 13; 34.27 deg, I 32; 36.99 deg, I 25; 37.87 deg, I 17; 41.67 deg, I 18; 47.97 deg, I 19; 51.70 deg, I 19; 69.52 deg, I 19



No. 2
Diffraction record for Fe5Te6Cl2O18. The powder diffractogram is computed, not measured: it uses the PBE+U geometry in the Materials Project and Cu Kα.

Atomic structure:
```
data_Fe5Te6Cl2O18
_cell_length_a 4.9761
_cell_length_b 9.3619
_cell_length_c 10.6396
_cell_angle_alpha 106.04
_cell_angle_beta 90.80
_cell_angle_gamma 104.02
_space_group_name_H-M_alt 'P -1'
_space_group_IT_number 2
_space_group_name_Hall '-P 1'
loop_
_atom_site_label
_atom_site_type_symbol
_atom_site_fract_x
_atom_site_fract_y
_atom_site_fract_z
_atom_site_occupancy
Fe1 Fe 0.0000 0.0000 0.0000 1
Fe2 Fe 0.2931 0.5861 0.5458 1
Fe3 Fe 0.4919 0.9158 0.6983 1
Te1 Te 0.0884 0.1988 0.5693 1
Te2 Te 0.1804 0.3505 0.2028 1
Te3 Te 0.4095 0.7660 0.1072 1
Cl1 Cl 0.2392 0.4468 0.8679 1
O1 O 0.0618 0.4669 0.3691 1
O2 O 0.0954 0.8418 0.8340 1
O3 O 0.2038 0.7820 0.5453 1
O4 O 0.2120 0.0577 0.4307 1
O5 O 0.2714 0.9478 0.1240 1
O6 O 0.2989 0.1814 0.9997 1
O7 O 0.3695 0.3836 0.5559 1
O8 O 0.4141 0.1239 0.7209 1
O9 O 0.4572 0.2904 0.2903 1
```

Largest 12 diffraction maxima, sorted by position, 5° ≤ 2θ ≤ 70°:
21.13 deg, I 35; 24.33 deg, I 38; 24.67 deg, I 47; 26.30 deg, I 100; 26.92 deg, I 71; 29.50 deg, I 23; 30.91 deg, I 66; 34.36 deg, I 51; 34.87 deg, I 49; 36.11 deg, I 39; 48.26 deg, I 36; 50.11 deg, I 32



No. 3
Diffraction record for LiPrMo2O8. The powder diffractogram is computed, not measured: it uses the PBE+U geometry in the Materials Project and Cu Kα.

Atomic structure:
```
data_LiPrMo2O8
_cell_length_a 5.1177
_cell_length_b 6.0090
_cell_length_c 11.2034
_cell_angle_alpha 90.00
_cell_angle_beta 112.03
_cell_angle_gamma 90.00
_space_group_name_H-M_alt 'P 1 2/c 1'
_space_group_IT_number 13
_space_group_name_Hall '-P 2yc'
loop_
_atom_site_label
_atom_site_type_symbol
_atom_site_fract_x
_atom_site_fract_y
_atom_site_fract_z
_atom_site_occupancy
Li1 Li 0.0000 0.2163 0.2500 1
Pr1 Pr 0.5000 0.2151 0.7500 1
Mo1 Mo 0.2645 0.3193 0.0233 1
O1 O 0.1369 0.3986 0.5921 1
O2 O 0.2198 0.1308 0.1377 1
O3 O 0.2766 0.1359 0.8975 1
O4 O 0.3684 0.4134 0.3868 1
```

Largest 12 diffraction maxima, sorted by position, 5° ≤ 2θ ≤ 70°:
17.05 deg, I 40; 18.70 deg, I 30; 20.07 deg, I 34; 22.63 deg, I 25; 27.73 deg, I 100; 29.61 deg, I 77; 29.76 deg, I 53; 35.21 deg, I 18; 46.20 deg, I 18; 46.73 deg, I 18; 48.58 deg, I 17; 48.74 deg, I 23